Entry 1:
Rb2SeBr6O: theoretical powder diffractogram (Cu Kα (λ = 1.5418 Å)), based on DFT lattice parameters and positions (GGA-PBE).
Lines closer than 0.1° are merged.

Structure:
```
data_Rb2SeBr6O
_chemical_formula_sum 'Rb4 Se2 Br12 O2'
_space_group_name_H-M_alt 'I 4/m m m'
_space_group_IT_number 139
_space_group_name_Hall '-I 4 2'
_cell_length_a 8.1732
_cell_length_b 8.1732
_cell_length_c 9.6010
_cell_angle_alpha 90.00
_cell_angle_beta 90.00
_cell_angle_gamma 90.00
loop_
_atom_site_label
_atom_site_fract_x
_atom_site_fract_y
_atom_site_fract_z
Rb1 0.0000 0.5000 0.2500
Se1 0.0000 0.0000 0.0000
Br1 0.0000 0.0000 0.2835
Br2 0.2257 0.2257 0.0000
O1 0.0000 0.0000 0.5000
```

Peak list (6 most intense, 5 to 70 degrees two-theta, sorted by position)
2θ 28.7, d 3.112, I = 100, (2 0 2); 2θ 30.9, d 2.890, I = 76, (2 2 0); 2θ 37.5, d 2.400, I = 21, (0 0 4); 2θ 44.3, d 2.043, I = 25, (4 0 0); 2θ 49.3, d 1.847, I = 47, (2 2 4); 2θ 53.7, d 1.708, I = 27, (4 2 2)



Entry 2:
RbSrBrO: theoretical powder diffractogram (Cu Kα (λ = 1.5418 Å)), based on DFT lattice parameters and positions (GGA-PBE).
Lines closer than 0.1° are merged.

Structure:
```
data_RbSrBrO
_chemical_formula_sum 'Rb3 Sr3 Br3 O3'
_space_group_name_H-M_alt 'R 3 m'
_space_group_IT_number 160
_space_group_name_Hall 'R 3 -2"'
_cell_length_a 3.9228
_cell_length_b 3.9228
_cell_length_c 24.2444
_cell_angle_alpha 90.00
_cell_angle_beta 90.00
_cell_angle_gamma 120.00
loop_
_atom_site_label
_atom_site_fract_x
_atom_site_fract_y
_atom_site_fract_z
Rb1 0.0000 0.0000 0.0000
Sr1 0.0000 0.0000 0.8673
Br1 0.0000 0.0000 0.4359
O1 0.0000 0.0000 0.5770
```

Peak list (6 most intense, 5 to 70 degrees two-theta, sorted by position)
2θ 27.3, d 3.271, I = 100, (0 1 2); 2θ 32.2, d 2.782, I = 45, (0 1 5); 2θ 33.3, d 2.694, I = 25, (0 0 9); 2θ 37.1, d 2.425, I = 82, (1 0 7); 2θ 46.3, d 1.961, I = 44, (1 1 0); 2θ 58.2, d 1.586, I = 29, (1 1 9)



Entry 3:
Rb2TcBr5O: theoretical powder diffractogram (Cu Kα (λ = 1.5418 Å)), based on DFT lattice parameters and positions (GGA-PBE).
Lines closer than 0.1° are merged.

Structure:
```
data_Rb2TcBr5O
_chemical_formula_sum 'Rb4 Tc2 Br10 O2'
_space_group_name_H-M_alt 'I 4 m m'
_space_group_IT_number 107
_space_group_name_Hall 'I 4 -2'
_cell_length_a 7.8015
_cell_length_b 7.8015
_cell_length_c 9.9087
_cell_angle_alpha 90.00
_cell_angle_beta 90.00
_cell_angle_gamma 90.00
loop_
_atom_site_label
_atom_site_fract_x
_atom_site_fract_y
_atom_site_fract_z
Rb1 0.0000 0.5000 0.0000
Tc1 0.0000 0.0000 0.2714
Br1 0.0000 0.0000 0.0035
Br2 0.2319 0.2319 0.2497
O1 0.0000 0.0000 0.4411
```

Peak list (6 most intense, 5 to 70 degrees two-theta, sorted by position)
2θ 14.5, d 6.130, I = 54, (1 0 1); 2θ 29.1, d 3.065, I = 100, (2 0 2); 2θ 32.5, d 2.758, I = 72, (2 2 0); 2θ 36.3, d 2.477, I = 26, (0 0 4); 2θ 49.5, d 1.843, I = 39, (2 2 4); 2θ 55.9, d 1.645, I = 26, (4 2 2)



Entry 4:
Rb2UBr4O4: theoretical powder diffractogram (Cu Kα (λ = 1.5418 Å)), based on DFT lattice parameters and positions (GGA-PBE).
Lines closer than 0.1° are merged.

Structure:
```
data_Rb2UBr4O4
_chemical_formula_sum 'Rb2 U1 Br4 O4'
_space_group_name_H-M_alt 'P -1'
_space_group_IT_number 2
_space_group_name_Hall '-P 1'
_cell_length_a 6.5371
_cell_length_b 7.1021
_cell_length_c 8.1295
_cell_angle_alpha 102.39
_cell_angle_beta 90.72
_cell_angle_gamma 111.50
loop_
_atom_site_label
_atom_site_fract_x
_atom_site_fract_y
_atom_site_fract_z
Rb1 0.0869 0.3693 0.2349
U1 0.5000 0.0000 0.5000
Br1 0.2857 0.9502 0.1786
Br2 0.3196 0.2961 0.6478
O1 0.0887 0.3488 0.8775
O2 0.2637 0.7851 0.5384
```

Peak list (6 most intense, 5 to 70 degrees two-theta, sorted by position)
2θ 11.2, d 7.900, I = 100, (0 0 1); 2θ 17.5, d 5.055, I = 93, (1 0 -1); 2θ 23.7, d 3.753, I = 78, (1 1 0); 2θ 24.1, d 3.687, I = 76, (1 1 -1); 2θ 26.1, d 3.418, I = 96, (1 -2 0); 2θ 28.2, d 3.166, I = 77, (1 0 2)



Entry 5:
Rb2UBr5O: theoretical powder diffractogram (Cu Kα (λ = 1.5418 Å)), based on DFT lattice parameters and positions (GGA-PBE).
Lines closer than 0.1° are merged.

Structure:
```
data_Rb2UBr5O
_chemical_formula_sum 'Rb4 U2 Br10 O2'
_space_group_name_H-M_alt 'I 4 m m'
_space_group_IT_number 107
_space_group_name_Hall 'I 4 -2'
_cell_length_a 8.0041
_cell_length_b 8.0041
_cell_length_c 10.4516
_cell_angle_alpha 90.00
_cell_angle_beta 90.00
_cell_angle_gamma 90.00
loop_
_atom_site_label
_atom_site_fract_x
_atom_site_fract_y
_atom_site_fract_z
Rb1 0.0000 0.5000 0.0000
U1 0.0000 0.0000 0.2411
Br1 0.0000 0.0000 0.5033
Br2 0.2482 0.2482 0.2512
O1 0.0000 0.0000 0.0660
```

Peak list (6 most intense, 5 to 70 degrees two-theta, sorted by position)
2θ 13.9, d 6.355, I = 100, (1 0 1); 2θ 23.2, d 3.839, I = 51, (1 1 2); 2θ 26.3, d 3.386, I = 44, (2 1 1); 2θ 28.1, d 3.177, I = 49, (2 0 2); 2θ 31.6, d 2.830, I = 86, (2 2 0); 2θ 47.4, d 1.920, I = 52, (2 2 4)



Entry 6:
Tl2ReBr5O: theoretical powder diffractogram (Cu Kα (λ = 1.5418 Å)), based on DFT lattice parameters and positions (GGA-PBE).
Lines closer than 0.1° are merged.

Structure:
```
data_Tl2ReBr5O
_chemical_formula_sum 'Tl4 Re2 Br10 O2'
_space_group_name_H-M_alt 'I 4 m m'
_space_group_IT_number 107
_space_group_name_Hall 'I 4 -2'
_cell_length_a 7.7751
_cell_length_b 7.7751
_cell_length_c 9.3774
_cell_angle_alpha 90.00
_cell_angle_beta 90.00
_cell_angle_gamma 90.00
loop_
_atom_site_label
_atom_site_fract_x
_atom_site_fract_y
_atom_site_fract_z
Tl1 0.0000 0.5000 0.0000
Re1 0.0000 0.0000 0.2204
Br1 0.0000 0.0000 0.4991
Br2 0.2320 0.2320 0.2415
O1 0.0000 0.0000 0.0387
```

Peak list (6 most intense, 5 to 70 degrees two-theta, sorted by position)
2θ 14.8, d 5.985, I = 64, (1 0 1); 2θ 25.0, d 3.568, I = 86, (1 1 2); 2θ 29.9, d 2.993, I = 100, (2 0 2); 2θ 32.6, d 2.749, I = 94, (2 2 0); 2θ 41.5, d 2.177, I = 43, (3 1 2); 2θ 51.2, d 1.784, I = 48, (2 2 4)



Entry 7:
Ru3BrO12: theoretical powder diffractogram (Cu Kα (λ = 1.5418 Å)), based on DFT lattice parameters and positions (GGA-PBE).
Lines closer than 0.1° are merged.

Structure:
```
data_Ru3BrO12
_chemical_formula_sum 'Ru18 Br6 O72'
_space_group_name_H-M_alt 'R 3 c'
_space_group_IT_number 161
_space_group_name_Hall 'R 3 -2"c'
_cell_length_a 9.1935
_cell_length_b 9.1935
_cell_length_c 28.5212
_cell_angle_alpha 90.00
_cell_angle_beta 90.00
_cell_angle_gamma 120.00
loop_
_atom_site_label
_atom_site_fract_x
_atom_site_fract_y
_atom_site_fract_z
Ru1 0.0360 0.3606 0.0000
Br1 0.0000 0.0000 0.0800
O1 0.1578 0.4240 0.0496
O2 0.1631 0.4246 0.9515
O3 0.1883 0.4383 0.6679
O4 0.2053 0.4263 0.3326
```

Peak list (6 most intense, 5 to 70 degrees two-theta, sorted by position)
2θ 16.7, d 5.312, I = 13, (1 0 4); 2θ 18.7, d 4.754, I = 26, (0 0 6); 2θ 21.5, d 4.138, I = 100, (1 1 3); 2θ 27.0, d 3.304, I = 36, (1 1 6); 2θ 33.8, d 2.654, I = 18, (3 0 0); 2θ 34.4, d 2.609, I = 19, (1 1 9)



Entry 8:
SBrO3: theoretical powder diffractogram (Cu Kα (λ = 1.5418 Å)), based on DFT lattice parameters and positions (GGA-PBE).
Lines closer than 0.1° are merged.

Structure:
```
data_SBrO3
_chemical_formula_sum 'S2 Br2 O6'
_space_group_name_H-M_alt 'P 1 21/m 1'
_space_group_IT_number 11
_space_group_name_Hall '-P 2yb'
_cell_length_a 5.5264
_cell_length_b 4.7021
_cell_length_c 7.9002
_cell_angle_alpha 90.00
_cell_angle_beta 91.32
_cell_angle_gamma 90.00
loop_
_atom_site_label
_atom_site_fract_x
_atom_site_fract_y
_atom_site_fract_z
S1 0.0918 0.2500 0.4758
Br1 0.4535 0.7500 0.0391
O1 0.0750 0.0002 0.6306
O2 0.3297 0.2500 0.4110
```

Peak list (6 most intense, 5 to 70 degrees two-theta, sorted by position)
2θ 19.4, d 4.577, I = 89, (1 0 -1); 2θ 19.8, d 4.479, I = 100, (1 0 1); 2θ 22.5, d 3.949, I = 58, (0 0 2); 2θ 27.2, d 3.280, I = 31, (1 1 -1); 2θ 38.2, d 2.353, I = 20, (0 2 0); 2θ 44.9, d 2.020, I = 19, (0 2 2)



What did the eighth record say?
SBrO3: theoretical powder diffractogram (Cu Kα (λ = 1.5418 Å)), based on DFT lattice parameters and positions (GGA-PBE).
Lines closer than 0.1° are merged.

Structure:
```
data_SBrO3
_chemical_formula_sum 'S2 Br2 O6'
_space_group_name_H-M_alt 'P 1 21/m 1'
_space_group_IT_number 11
_space_group_name_Hall '-P 2yb'
_cell_length_a 5.5264
_cell_length_b 4.7021
_cell_length_c 7.9002
_cell_angle_alpha 90.00
_cell_angle_beta 91.32
_cell_angle_gamma 90.00
loop_
_atom_site_label
_atom_site_fract_x
_atom_site_fract_y
_atom_site_fract_z
S1 0.0918 0.2500 0.4758
Br1 0.4535 0.7500 0.0391
O1 0.0750 0.0002 0.6306
O2 0.3297 0.2500 0.4110
```

Peak list (6 most intense, 5 to 70 degrees two-theta, sorted by position)
2θ 19.4, d 4.577, I = 89, (1 0 -1); 2θ 19.8, d 4.479, I = 100, (1 0 1); 2θ 22.5, d 3.949, I = 58, (0 0 2); 2θ 27.2, d 3.280, I = 31, (1 1 -1); 2θ 38.2, d 2.353, I = 20, (0 2 0); 2θ 44.9, d 2.020, I = 19, (0 2 2)